For Cd5AgHg, DFT lattice parameters and positions (PBE) gives the theoretical X-ray powder pattern in this record (Cu Kα X-rays).
No peak broadening, texture or thermal motion is included.

Largest 8 diffraction maxima, sorted by position, 2θ from 10° to 80°:
2θ/deg  d/Å  intensity
24.4  3.645  22
36.2  2.483  14
36.8  2.442  100
37.5  2.398  25
37.9  2.372  25
54.4  1.686  16
67.2  1.393  15
67.8  1.382  16

Cell and atoms:
Unit cell a=7.6181 b=7.6181 c=7.6181 alpha=124.60 beta=102.98 gamma=101.98
Element x y z (fractional)
Cd: 0.2422 0.2822 0.5400
Cd: 0.2422 0.7022 0.9600
Cd: 0.2431 0.0000 0.7431
Cd: 0.2431 0.5000 0.2431
Cd: 0.4894 0.2394 0.2500
Cd: 0.5106 0.7606 0.7500
Cd: 0.7569 0.0000 0.2569
Cd: 0.7569 0.5000 0.7569
Cd: 0.7578 0.2978 0.0400
Cd: 0.7578 0.7178 0.4600
Ag: 0.0169 0.7669 0.2500
Ag: 0.9831 0.2331 0.7500
Hg: 0.0000 0.0000 0.0000
Hg: 0.5000 0.0000 0.5000